(1)
This entry pairs a crystal structure of CeSi2Ni9 with its calculated powder diffraction line list. Radiation: λ = 1.5418 Å (Cu Kα). Structure: a cell relaxed with GGA-PBE.

Principal peaks in the range 15° ≤ 2θ ≤ 90°, in order of rising 2θ:
| 2θ (°) | intensity |
| --- | --- |
| 25.8 | 8 |
| 31.1 | 10 |
| 31.8 | 8 |
| 36.2 | 14 |
| 40.8 | 7 |
| 41.4 | 100 |
| 45.2 | 15 |
| 47.5 | 10 |
| 48.9 | 22 |
| 51.3 | 11 |
| 75.4 | 14 |
| 89.8 | 7 |

Structure:
abc: 7.564 7.564 7.564
angles: 99.53 99.53 131.99
Fractional positions:
Ce 0.375 0.625 0.750
Ce 0.625 0.375 0.250
Si 0.000 0.000 0.000
Si 0.000 0.000 0.500
Si 0.000 0.500 0.000
Si 0.500 0.000 0.500
Ni 0.125 0.875 0.250
Ni 0.139 0.562 0.329
Ni 0.139 0.811 0.577
Ni 0.189 0.266 0.329
Ni 0.189 0.861 0.923
Ni 0.266 0.189 0.829
Ni 0.266 0.438 0.077
Ni 0.438 0.266 0.577
Ni 0.438 0.861 0.171
Ni 0.562 0.139 0.829
Ni 0.562 0.734 0.423
Ni 0.734 0.562 0.923
Ni 0.734 0.811 0.171
Ni 0.811 0.139 0.077
Ni 0.811 0.734 0.671
Ni 0.861 0.189 0.423
Ni 0.861 0.438 0.671
Ni 0.875 0.125 0.750

=====

(2)
This entry pairs a crystal structure of AgSnO3 with its calculated powder diffraction line list. Radiation: λ = 1.5418 Å (Cu Kα). Structure: a cell relaxed with GGA-PBE.

Principal peaks in the range 15° ≤ 2θ ≤ 90°, in order of rising 2θ:
| 2θ (°) | intensity |
| --- | --- |
| 28.8 | 100 |
| 31.8 | 88 |
| 33.1 | 26 |
| 36.2 | 39 |
| 48.1 | 16 |
| 49.9 | 59 |
| 56.5 | 17 |
| 58.3 | 14 |
| 58.9 | 30 |
| 59.7 | 12 |
| 64.1 | 21 |
| 83.6 | 11 |

Structure:
abc: 6.605 6.605 3.287
angles: 90.00 90.00 110.18
Fractional positions:
Ag 0.000 0.000 0.000
Ag 0.500 0.500 0.000
Sn 0.000 0.500 0.500
Sn 0.500 0.000 0.500
O 0.173 0.433 0.000
O 0.173 0.827 0.500
O 0.433 0.173 0.000
O 0.567 0.827 0.000
O 0.827 0.173 0.500
O 0.827 0.567 0.000

=====

(3)
This entry pairs a crystal structure of As3Pb5ClO9 with its calculated powder diffraction line list. Radiation: λ = 1.5418 Å (Cu Kα). Structure: a cell relaxed with GGA-PBE.

Principal peaks in the range 15° ≤ 2θ ≤ 90°, in order of rising 2θ:
| 2θ (°) | intensity |
| --- | --- |
| 20.4 | 30 |
| 22.5 | 21 |
| 24.2 | 32 |
| 25.2 | 45 |
| 28.0 | 18 |
| 28.7 | 100 |
| 29.4 | 56 |
| 35.2 | 30 |
| 37.8 | 28 |
| 41.5 | 20 |
| 42.6 | 21 |
| 51.2 | 20 |

Structure:
abc: 10.793 10.793 7.369
angles: 90.00 90.00 120.00
Fractional positions:
As 0.046 0.696 0.000
As 0.304 0.350 0.000
As 0.350 0.046 0.500
As 0.650 0.954 0.000
As 0.696 0.650 0.500
As 0.954 0.304 0.500
Pb 0.000 0.000 0.255
Pb 0.000 0.000 0.755
Pb 0.062 0.688 0.486
Pb 0.312 0.375 0.486
Pb 0.333 0.667 0.876
Pb 0.375 0.062 0.986
Pb 0.625 0.938 0.486
Pb 0.667 0.333 0.376
Pb 0.688 0.625 0.986
Pb 0.938 0.312 0.986
Cl 0.333 0.667 0.480
Cl 0.667 0.333 0.980
O 0.035 0.193 0.458
O 0.069 0.630 0.785
O 0.158 0.965 0.458
O 0.179 0.412 0.033
O 0.193 0.158 0.958
O 0.232 0.821 0.033
O 0.370 0.438 0.785
O 0.412 0.232 0.533
O 0.438 0.069 0.285
O 0.562 0.931 0.785
O 0.588 0.768 0.033
O 0.630 0.562 0.285
O 0.768 0.179 0.533
O 0.807 0.842 0.458
O 0.821 0.588 0.533
O 0.842 0.035 0.958
O 0.931 0.370 0.285
O 0.965 0.807 0.958